Theoretical X-ray powder pattern of SmHRu for Cu Kα (weighted mean of Kα1 and Kα2), from a crystal structure in Alexandria, relaxed with PBE.

Most intense lines, 10° ≤ 2θ ≤ 80°, sorted by position:
(hkl), Position (°2θ), intensity
0 0 1, 16.75, 31.2
2 0 -1, 18.41, 25.1
1 1 -1, 26.09, 22.6
2 0 -2, 27.04, 41.2
0 0 2, 33.87, 23.9
1 1 1, 34.01, 100.0
3 1 -1, 35.76, 94.6
0 2 0, 45.44, 29.1
4 0 0, 46.49, 27.0
3 1 -3, 47.19, 40.5

Structural model:
Lattice parameters (Å, degrees): 9.779 3.992 6.626 90.00 126.96 90.00
Element x y z (fractional)
Sm  0.000  0.000  0.000
Sm  0.000  0.500  0.500
Sm  0.500  0.000  0.500
Sm  0.500  0.500  0.000
H  0.192  0.000  0.572
H  0.308  0.500  0.428
H  0.692  0.500  0.572
H  0.808  0.000  0.428
Ru  0.249  0.500  0.123
Ru  0.251  0.000  0.877
Ru  0.749  0.000  0.123
Ru  0.751  0.500  0.877